Structure and calculated X-ray powder pattern of Li17Co8O18 (a GGA+U-relaxed structure; a wavelength of 1.5418 Å).
Kinematic intensities with the Lorentz-polarization factor, no thermal factor.

Cell and atoms:
abc: 7.6205 7.6656 9.8151
angles: 92.37 104.19 118.41
Positions (direct):
Li  0.0000  0.0000  0.0000
Li  0.0115  0.8605  0.7617
Li  0.0275  0.5465  0.2791
Li  0.0972  0.2662  0.2280
Li  0.1193  0.9847  0.5040
Li  0.2748  0.3895  0.0109
Li  0.3106  0.7836  0.5087
Li  0.3288  0.3053  0.7846
Li  0.4028  0.6352  0.2476
Li  0.4463  0.0712  0.7082
Li  0.5516  0.7909  0.0375
Li  0.6606  0.5540  0.9756
Li  0.7046  0.0783  0.2532
Li  0.7689  0.4849  0.7589
Li  0.8507  0.8229  0.2596
Li  0.8862  0.5590  0.5285
Li  0.9727  0.2933  0.4884
Co  0.1348  0.7020  0.0327
Co  0.2273  0.6336  0.7542
Co  0.2756  0.9786  0.2342
Co  0.4363  0.4602  0.5246
Co  0.5771  0.3715  0.2420
Co  0.7245  0.8804  0.5279
Co  0.7947  0.2322  0.9919
Co  0.8724  0.1709  0.7532
O  0.0774  0.4576  0.0949
O  0.0803  0.1356  0.8454
O  0.1262  0.8325  0.3420
O  0.1745  0.8116  0.6510
O  0.2576  0.5113  0.4004
O  0.2824  0.1982  0.1650
O  0.3486  0.2431  0.5994
O  0.4035  0.5738  0.8724
O  0.4111  0.8658  0.1543
O  0.5852  0.5867  0.1575
O  0.6071  0.9775  0.6338
O  0.6165  0.2898  0.8791
O  0.7130  0.6455  0.5955
O  0.7999  0.3634  0.3438
O  0.8185  0.0459  0.0928
O  0.8687  0.0084  0.4094
O  0.9292  0.7265  0.9230
O  0.9404  0.4035  0.6708

Top 10 peaks for 2θ from 10° to 90°, by angle:
2θ (°)	I_rel
14.24	41
17.54	100
23.70	30
24.10	35
26.84	85
27.82	34
30.21	75
31.45	23
39.55	20
40.93	33